Starting from a crystal structure in the Materials Project, relaxed with PBE+U, the powder X-ray diffraction pattern of LiTiV2CrO10 was computed for CuKα.
Intensities are scaled so that the largest is 1000.

Principal peaks in the range 2θ = 10–90°, sorted by position:
| two_theta | I/Imax |
| --- | --- |
| 16.58 | 1000 |
| 21.49 | 141 |
| 26.82 | 294 |
| 27.36 | 318 |
| 31.01 | 148 |
| 32.16 | 230 |

Unit cell a=5.352 b=6.520 c=6.655 alpha=90.00 beta=92.67 gamma=90.00
Atoms (fractional coordinates):
Li: 0.000 0.000 0.000
Ti: 0.560 0.000 0.194
V: 0.483 0.000 0.703
V: 0.692 0.500 0.186
Cr: 0.585 0.500 0.686
O: 0.348 0.000 0.972
O: 0.390 0.500 0.171
O: 0.399 0.000 0.420
O: 0.399 0.297 0.690
O: 0.399 0.703 0.690
O: 0.754 0.500 0.478
O: 0.777 0.500 0.891
O: 0.780 0.225 0.174
O: 0.780 0.775 0.174
O: 0.790 0.000 0.747

---

Starting from a crystal structure in the Materials Project, relaxed with PBE+U, the powder X-ray diffraction pattern of Li4Ti2V3Cr3O16 was computed for CuKα.
Intensities are scaled so that the largest is 1000.

Principal peaks in the range 2θ = 10–90°, sorted by position:
| two_theta | I/Imax |
| --- | --- |
| 18.58 | 667 |
| 19.70 | 1000 |
| 35.73 | 329 |
| 36.39 | 513 |
| 45.44 | 320 |
| 62.99 | 417 |

Unit cell a=5.902 b=5.902 c=9.549 alpha=90.24 beta=90.24 gamma=60.03
Atoms (fractional coordinates):
Li: 0.000 0.000 0.000
Li: 0.001 0.001 0.499
Li: 0.338 0.338 0.896
Li: 0.673 0.673 0.399
Ti: 0.334 0.334 0.503
Ti: 0.668 0.668 0.001
V: 0.183 0.649 0.222
V: 0.649 0.183 0.222
V: 0.828 0.828 0.725
Cr: 0.171 0.171 0.218
Cr: 0.343 0.831 0.719
Cr: 0.831 0.343 0.719
O: 0.046 0.483 0.346
O: 0.169 0.169 0.600
O: 0.169 0.665 0.601
O: 0.337 0.337 0.106
O: 0.338 0.831 0.100
O: 0.483 0.046 0.346
O: 0.487 0.487 0.352
O: 0.524 0.524 0.845
O: 0.526 0.964 0.847
O: 0.665 0.169 0.601
O: 0.678 0.678 0.610
O: 0.831 0.338 0.100
O: 0.832 0.832 0.100
O: 0.964 0.526 0.847
O: 0.995 0.995 0.811
O: 0.997 0.997 0.310

---

Starting from a crystal structure in the Materials Project, relaxed with PBE+U, the powder X-ray diffraction pattern of LiTiV2CrO10 was computed for CuKα.
Intensities are scaled so that the largest is 1000.

Principal peaks in the range 2θ = 10–90°, sorted by position:
| two_theta | I/Imax |
| --- | --- |
| 16.50 | 1000 |
| 21.48 | 393 |
| 27.51 | 710 |
| 32.25 | 500 |
| 42.89 | 143 |
| 56.79 | 137 |

Unit cell a=6.484 b=6.484 c=5.372 alpha=90.00 beta=90.00 gamma=90.00
Atoms (fractional coordinates):
Li: 0.000 0.000 0.000
Ti: 0.000 0.000 0.500
V: 0.000 0.500 0.372
V: 0.500 0.000 0.628
Cr: 0.500 0.500 0.500
O: 0.000 0.216 0.280
O: 0.000 0.500 0.673
O: 0.000 0.784 0.280
O: 0.216 0.000 0.720
O: 0.290 0.500 0.306
O: 0.500 0.000 0.327
O: 0.500 0.290 0.694
O: 0.500 0.710 0.694
O: 0.710 0.500 0.306
O: 0.784 0.000 0.720

---

Starting from a crystal structure in the Materials Project, relaxed with PBE+U, the powder X-ray diffraction pattern of LiTiV2CrO10 was computed for CuKα.
Intensities are scaled so that the largest is 1000.

Principal peaks in the range 2θ = 10–90°, sorted by position:
| two_theta | I/Imax |
| --- | --- |
| 18.22 | 1000 |
| 23.12 | 195 |
| 27.04 | 814 |
| 32.18 | 364 |
| 33.40 | 291 |
| 55.74 | 178 |

Unit cell a=4.877 b=6.601 c=6.603 alpha=90.76 beta=92.31 gamma=92.09
Atoms (fractional coordinates):
Li: 0.000 0.000 0.000
Ti: 0.505 0.256 0.753
V: 0.402 0.764 0.758
V: 0.612 0.251 0.245
Cr: 0.507 0.756 0.252
O: 0.273 0.030 0.766
O: 0.279 0.222 0.216
O: 0.282 0.771 0.045
O: 0.323 0.492 0.762
O: 0.332 0.765 0.473
O: 0.685 0.536 0.244
O: 0.691 0.247 0.518
O: 0.732 0.964 0.239
O: 0.735 0.794 0.790
O: 0.738 0.241 0.978

---

Starting from a crystal structure in the Materials Project, relaxed with PBE+U, the powder X-ray diffraction pattern of Li4Ti3V2Cr3O16 was computed for CuKα.
Intensities are scaled so that the largest is 1000.

Principal peaks in the range 2θ = 10–90°, sorted by position:
| two_theta | I/Imax |
| --- | --- |
| 18.57 | 1000 |
| 19.57 | 791 |
| 19.70 | 598 |
| 39.74 | 361 |
| 45.18 | 532 |
| 62.88 | 451 |

Unit cell a=5.913 b=5.913 c=9.555 alpha=90.76 beta=90.76 gamma=60.23
Atoms (fractional coordinates):
Li: 0.000 0.000 0.000
Li: 0.002 0.002 0.505
Li: 0.332 0.332 0.607
Li: 0.664 0.664 0.100
Ti: 0.163 0.662 0.283
Ti: 0.662 0.163 0.283
Ti: 0.825 0.825 0.779
V: 0.326 0.326 0.005
V: 0.660 0.660 0.512
Cr: 0.169 0.169 0.285
Cr: 0.339 0.822 0.785
Cr: 0.822 0.339 0.785
O: 0.040 0.481 0.157
O: 0.164 0.663 0.902
O: 0.171 0.171 0.904
O: 0.324 0.830 0.397
O: 0.339 0.339 0.394
O: 0.476 0.476 0.158
O: 0.481 0.040 0.157
O: 0.514 0.514 0.661
O: 0.521 0.958 0.658
O: 0.663 0.164 0.902
O: 0.670 0.670 0.894
O: 0.830 0.324 0.397
O: 0.836 0.836 0.391
O: 0.958 0.521 0.658
O: 0.994 0.994 0.691
O: 0.997 0.997 0.186